# 1
LiCoSbO4: simulated X-ray diffraction stick pattern (a wavelength of 1.5418 Å), based on a PBE+U-relaxed structure.

Structural model:
```
data_LiCoSbO4
_cell_length_a 6.137
_cell_length_b 6.137
_cell_length_c 8.588
_cell_angle_alpha 90.00
_cell_angle_beta 90.00
_cell_angle_gamma 90.00
_space_group_name_H-M_alt 'P 43 2 2'
_space_group_IT_number 95
loop_
_space_group_symop_operation_xyz
'x,y,z'
'-y,x,z+3/4'
'-x,-y,z+1/2'
'y,-x,z+1/4'
'x,-y,-z+1/2'
'-y,-x,-z+3/4'
'-x,y,-z'
'y,x,-z+1/4'
loop_
_atom_site_label
_atom_site_type_symbol
_atom_site_fract_x
_atom_site_fract_y
_atom_site_fract_z
_atom_site_occupancy
Li1 Li 0.000 0.209 0.000 1
Co1 Co 0.252 0.252 0.625 1
Sb1 Sb 0.227 0.500 0.250 1
O1 O 0.017 0.262 0.252 1
O2 O 0.268 0.477 0.014 1
```

Largest 8 diffraction maxima, in order of rising 2θ, 10 to 90 degrees two-theta:
2theta  intensity  (hkl)
14.4  51.5  1 0 0
23.0  89.1  1 1 1
25.3  50.5  1 0 2
29.3  28.1  1 1 2
34.3  100.0  2 1 1
34.6  50.7  1 0 3
55.0  28.8  3 2 1
60.7  44.8  2 2 4

=====

# 2
MgMn3TeO8: simulated X-ray diffraction stick pattern (a wavelength of 1.5418 Å), based on a PBE+U-relaxed structure.

Structural model:
```
data_MgMn3TeO8
_cell_length_a 10.816
_cell_length_b 6.069
_cell_length_c 6.360
_cell_angle_alpha 90.00
_cell_angle_beta 125.12
_cell_angle_gamma 90.00
_space_group_name_H-M_alt 'C 1 2/m 1'
_space_group_IT_number 12
loop_
_space_group_symop_operation_xyz
'x,y,z'
'-x,-y,-z'
'-x,y,-z'
'x,-y,z'
'x+1/2,y+1/2,z'
'-x+1/2,-y+1/2,-z'
'-x+1/2,y+1/2,-z'
'x+1/2,-y+1/2,z'
loop_
_atom_site_label
_atom_site_type_symbol
_atom_site_fract_x
_atom_site_fract_y
_atom_site_fract_z
_atom_site_occupancy
Mg1 Mg 0.000 0.000 0.000 1
Mn1 Mn 0.000 0.500 0.500 1
Mn2 Mn 0.250 0.250 0.000 1
Te1 Te 0.000 0.500 0.000 1
O1 O 0.002 0.271 0.786 1
O2 O 0.222 0.500 0.193 1
O3 O 0.244 0.000 0.184 1
```

Largest 8 diffraction maxima, in order of rising 2θ, 10 to 90 degrees two-theta:
2theta  intensity  (hkl)
17.0  100.0  0 0 1
17.7  82.1  1 1 0
33.7  26.1  4 0 -1
34.3  17.9  2 2 -1
35.9  17.4  2 2 0
40.8  32.0  4 0 0
41.1  59.5  2 2 -2
59.7  17.7  6 2 -2

=====

# 3
Li11Mn13O32: simulated X-ray diffraction stick pattern (a wavelength of 1.5418 Å), based on a PBE+U-relaxed structure.

Structural model:
```
data_Li11Mn13O32
_cell_length_a 11.764
_cell_length_b 11.666
_cell_length_c 10.105
_cell_angle_alpha 90.00
_cell_angle_beta 124.92
_cell_angle_gamma 90.00
_space_group_name_H-M_alt 'C 1 2/m 1'
_space_group_IT_number 12
loop_
_space_group_symop_operation_xyz
'x,y,z'
'-x,-y,-z'
'-x,y,-z'
'x,-y,z'
'x+1/2,y+1/2,z'
'-x+1/2,-y+1/2,-z'
'-x+1/2,y+1/2,-z'
'x+1/2,-y+1/2,z'
loop_
_atom_site_label
_atom_site_type_symbol
_atom_site_fract_x
_atom_site_fract_y
_atom_site_fract_z
_atom_site_occupancy
Li1 Li 0.000 0.000 0.000 1
Li2 Li 0.000 0.248 0.500 1
Li3 Li 0.071 0.000 0.380 1
Li4 Li 0.071 0.247 0.879 1
Li5 Li 0.072 0.500 0.385 1
Mn1 Mn 0.000 0.500 0.000 1
Mn2 Mn 0.249 0.000 0.003 1
Mn3 Mn 0.249 0.127 0.748 1
Mn4 Mn 0.250 0.125 0.251 1
Mn5 Mn 0.250 0.250 0.500 1
O1 O 0.128 0.389 0.012 1
O2 O 0.128 0.500 0.233 1
O3 O 0.142 0.249 0.262 1
O4 O 0.142 0.500 0.761 1
O5 O 0.143 0.363 0.520 1
O6 O 0.144 0.000 0.247 1
O7 O 0.146 0.114 0.018 1
O8 O 0.146 0.247 0.751 1
O9 O 0.147 0.000 0.765 1
O10 O 0.147 0.133 0.523 1
```

Largest 8 diffraction maxima, in order of rising 2θ, 10 to 90 degrees two-theta:
2theta  intensity  (hkl)
18.4  100.0  2 0 0
18.6  62.5  0 2 1
36.0  21.5  2 4 0
36.1  38.0  2 4 -2
43.7  82.7  0 0 4
57.6  17.0  2 0 4
63.2  23.5  4 4 2
63.8  24.9  0 8 0